No. 1
This entry pairs a crystal structure of Li4Co3Cu3W2O16 with its calculated X-ray powder pattern. Radiation: Cu Kα (weighted mean of Kα1 and Kα2). Structure: a structure optimized by DFT (PBE+U).
Kinematic intensities with the Lorentz-polarization factor, no thermal factor.

Largest 12 diffraction maxima, sorted by position, 2θ = 10–90°:
d/Å	Rel. int.
4.670	30
4.520	72
4.389	100
3.530	17
3.406	18
2.738	28
2.651	23
2.581	32
2.470	29
2.454	20
2.439	40
1.472	23

Structure:
```
Li4Co3Cu3W2O16
1.0
5.1498 -2.8849 0.0000
5.1498 2.8849 0.0000
-0.7054 0.0000 9.5666
Li Co Cu W O
4 3 3 2 16
Cartesian
0.0000 0.0000 0.0000
-0.3365 0.0000 4.7675
2.6938 0.0000 8.7498
6.4136 0.0000 4.0124
1.5473 0.0000 2.1655
5.4856 1.4210 6.9173
5.4856 -1.4210 6.9173
4.1076 1.4024 2.1389
4.1076 -1.4024 2.1389
8.0229 0.0000 6.9297
2.9259 0.0000 4.8053
6.1451 0.0000 9.5193
-0.1769 0.0000 2.9161
-0.5343 0.0000 7.7587
2.1449 1.2321 3.5030
1.2778 0.0000 5.9131
3.8577 1.4158 5.7074
3.2114 0.0000 1.2748
6.0863 1.4315 0.9075
2.1449 -1.2321 3.5030
4.5389 0.0000 3.5104
6.9028 1.3181 8.1661
4.7317 0.0000 8.0318
6.3253 0.0000 6.0026
3.8577 -1.4158 5.7074
8.5387 0.0000 0.8147
6.0863 -1.4315 0.9075
6.9028 -1.3181 8.1661
```



No. 2
This entry pairs a crystal structure of BaMnO3 with its calculated X-ray powder pattern. Radiation: Cu Kα (weighted mean of Kα1 and Kα2). Structure: a structure optimized by DFT (PBE+U).
Kinematic intensities with the Lorentz-polarization factor, no thermal factor.

Largest 12 diffraction maxima, sorted by position, 2θ = 10–90°:
d/Å	Rel. int.
3.520	100
2.902	86
2.239	65
2.214	30
1.773	25
1.760	25
1.675	16
1.563	10
1.505	23
1.451	16
1.376	12
1.342	13

Structure:
```
BaMnO3
1.0
5.8039 0.0000 0.0000
-2.9020 5.0264 0.0000
0.0000 0.0000 4.9321
Ba Mn O
2 2 6
Cartesian
0.0000 3.3509 0.0000
2.9020 1.6755 2.4660
0.0000 0.0000 1.1552
0.0000 0.0000 3.6212
0.0000 1.4932 2.3851
-1.6088 4.2797 2.3851
1.2932 0.7466 4.8511
1.6088 4.2797 2.3851
4.5108 0.7466 4.8511
2.9020 3.5331 4.8511
```



Copy entry 2 word for word.
This entry pairs a crystal structure of BaMnO3 with its calculated X-ray powder pattern. Radiation: Cu Kα (weighted mean of Kα1 and Kα2). Structure: a structure optimized by DFT (PBE+U).
Kinematic intensities with the Lorentz-polarization factor, no thermal factor.

Largest 12 diffraction maxima, sorted by position, 2θ = 10–90°:
d/Å	Rel. int.
3.520	100
2.902	86
2.239	65
2.214	30
1.773	25
1.760	25
1.675	16
1.563	10
1.505	23
1.451	16
1.376	12
1.342	13

Structure:
```
BaMnO3
1.0
5.8039 0.0000 0.0000
-2.9020 5.0264 0.0000
0.0000 0.0000 4.9321
Ba Mn O
2 2 6
Cartesian
0.0000 3.3509 0.0000
2.9020 1.6755 2.4660
0.0000 0.0000 1.1552
0.0000 0.0000 3.6212
0.0000 1.4932 2.3851
-1.6088 4.2797 2.3851
1.2932 0.7466 4.8511
1.6088 4.2797 2.3851
4.5108 0.7466 4.8511
2.9020 3.5331 4.8511
```